(1)
Structure and simulated X-ray powder pattern of Tb2Ho3Er3 (a PBE-relaxed structure; Cu Kα (λ = 1.5418 Å)).
Intensities are scaled so that the largest is 100.

Peak list (8 most intense, 2θ from 10° to 90°, low angle first)
two_theta	I/Imax
30.3	43.8
31.4	34.7
33.2	100.0
37.8	24.3
51.8	25.8
57.1	21.5
61.8	30.3
62.9	16.0

a b c (Å): 23.5992 3.5315 6.1184
angles (deg): 90.00 105.02 90.00
Space group C2/m (No. 12)
Unique sites:
Tb1 0.2500 0.0000 0.2500
Ho1 0.0000 0.0000 0.0000
Ho2 0.1245 0.0000 0.4577
Er1 0.0000 0.5000 0.5000
Er2 0.1245 0.5000 0.9576

(2)
Structure and simulated X-ray powder pattern of TbHo12Er6 (a PBE-relaxed structure; Cu Kα (λ = 1.5418 Å)).
Intensities are scaled so that the largest is 100.

Peak list (8 most intense, 2θ from 10° to 90°, low angle first)
two_theta	I/Imax
31.0	42.4
31.9	23.4
32.3	100.0
33.3	68.8
33.9	27.1
35.4	17.4
56.5	17.1
59.1	14.5

a b c (Å): 11.7475 11.7475 15.0515
angles (deg): 90.00 90.00 120.00
Space group R-3 (No. 148, hexagonal axes)
Unique sites:
Tb1 0.0000 0.0000 0.0000
Ho1 0.0158 0.8347 0.1913
Ho2 0.0411 0.8509 0.4157
Er1 0.0103 0.4232 0.6798

(3)
Structure and simulated X-ray powder pattern of Tb9Ho2Er3 (a PBE-relaxed structure; Cu Kα (λ = 1.5418 Å)).
Intensities are scaled so that the largest is 100.

Peak list (8 most intense, 2θ from 10° to 90°, low angle first)
two_theta	I/Imax
31.6	100.0
31.7	85.6
32.6	43.4
44.7	10.6
46.0	18.7
56.4	15.3
57.6	13.7
57.7	18.8

a b c (Å): 5.4884 8.7879 9.8605
angles (deg): 78.54 90.00 71.81
Space group P1 (No. 1)
Unique sites:
Tb1 0.0000 0.0000 0.0000
Tb2 0.0387 0.9219 0.3761
Tb3 0.2275 0.5458 0.3709
Tb4 0.4414 0.1166 0.4349
Tb5 0.5281 0.9442 0.8056
Tb6 0.6118 0.7760 0.1819
Tb7 0.6712 0.6582 0.5484
Tb8 0.8316 0.3370 0.2496
Tb9 0.9121 0.1753 0.6298
Ho1 0.2148 0.5692 0.0600
Ho2 0.3141 0.3713 0.7029
Er1 0.1257 0.7489 0.7353
Er2 0.4039 0.1923 0.0599
Er3 0.7714 0.4565 0.8887

(4)
Structure and simulated X-ray powder pattern of Tb2Ho6Er5 (a PBE-relaxed structure; Cu Kα (λ = 1.5418 Å)).
Intensities are scaled so that the largest is 100.

Peak list (8 most intense, 2θ from 10° to 90°, low angle first)
two_theta	I/Imax
31.4	56.2
31.9	50.4
32.3	97.0
32.6	100.0
34.7	36.3
37.1	32.3
57.6	33.6
62.2	30.7

a b c (Å): 11.5200 19.9718 3.5428
angles (deg): 90.00 90.00 90.00
Space group Pbam (No. 55)
Unique sites:
Tb1 0.1661 0.2109 0.0000
Ho1 0.0587 0.9195 0.0000
Ho2 0.0834 0.6317 0.0000
Ho3 0.1731 0.3667 0.5000
Er1 0.0000 0.5000 0.5000
Er2 0.0914 0.7739 0.5000
Er3 0.1984 0.0500 0.5000